Entry 1:
Computed powder XRD pattern
Compound: Rb2CeScO4
Radiation: a wavelength of 1.5418 Å
Structure: DFT lattice parameters and positions (PBE)
No peak broadening, texture or thermal motion is included.

Crystal structure
```
Rb2CeScO4
1.0
6.016 0.000 0.000
0.000 3.491 0.000
-1.972 0.000 6.528
Rb Ce Sc O
2 1 1 4
Direct
0.000 0.000 0.000 Rb
0.500 0.500 0.000 Rb
0.000 0.500 0.500 Ce
0.500 0.000 0.500 Sc
0.247 0.000 0.673 O
0.292 0.500 0.330 O
0.708 0.500 0.670 O
0.753 0.000 0.327 O
```

Peak list (6 most intense, 2θ from 10° to 80°, most intense first)
2θ (°)	d (Å)	intensity
31.03	2.882	100
34.87	2.573	95
27.31	3.265	60
35.09	2.557	46
47.90	1.899	31
52.63	1.739	29

=====

Entry 2:
Computed powder XRD pattern
Compound: RbPbSe
Radiation: a wavelength of 1.5418 Å
Structure: DFT lattice parameters and positions (PBE)
No peak broadening, texture or thermal motion is included.

Crystal structure
```
RbPbSe
1.0
4.082 0.000 0.000
0.000 5.583 0.000
-0.348 0.000 9.557
Rb Pb Se
2 2 2
Direct
0.230 0.250 0.349 Rb
0.770 0.750 0.651 Rb
0.176 0.750 0.060 Pb
0.824 0.250 0.940 Pb
0.284 0.250 0.718 Se
0.716 0.750 0.282 Se
```

Peak list (6 most intense, 2θ from 10° to 80°, most intense first)
2θ (°)	d (Å)	intensity
33.49	2.676	100
28.93	3.086	77
24.52	3.630	72
28.40	3.142	70
32.07	2.791	69
35.11	2.556	34

=====

Entry 3:
Computed powder XRD pattern
Compound: K3Cu2F7
Radiation: a wavelength of 1.5418 Å
Structure: DFT lattice parameters and positions (PBE)
No peak broadening, texture or thermal motion is included.

Crystal structure
```
K3Cu2F7
1.0
-2.046 2.046 10.624
2.046 -2.046 10.624
2.046 2.046 -10.624
K Cu F
3 2 7
Direct
0.000 0.000 0.000 K
0.184 0.184 0.000 K
0.816 0.816 0.000 K
0.404 0.404 0.000 Cu
0.596 0.596 0.000 Cu
0.095 0.595 0.500 F
0.309 0.309 0.000 F
0.405 0.905 0.500 F
0.500 0.500 0.000 F
0.595 0.095 0.500 F
0.691 0.691 0.000 F
0.905 0.405 0.500 F
```

Peak list (6 most intense, 2θ from 10° to 80°, most intense first)
2θ (°)	d (Å)	intensity
30.32	2.948	100
44.27	2.046	81
30.90	2.893	76
54.60	1.681	35
22.12	4.018	33
16.69	5.312	31